(1)
This entry pairs a crystal structure of Er8Ga3Te4Se with its calculated PXRD pattern. Radiation: Cu Kα. Structure: a structure optimized by DFT (GGA-PBE).

Principal peaks in the range 2θ = 10–80°, by angle:
| two_theta | I (rel.) |
| --- | --- |
| 26.1 | 8 |
| 29.9 | 100 |
| 41.9 | 37 |
| 43.6 | 37 |
| 50.9 | 6 |
| 53.7 | 19 |
| 62.1 | 11 |
| 69.2 | 15 |
| 71.6 | 16 |
| 78.9 | 11 |

Cell: 8.6274 8.6274 8.6274 Å, 57.57 57.57 57.57°
Fractional coordinates of all 16 atoms:
Er1 0.2360 0.7442 0.7442
Er2 0.2433 0.2433 0.2433
Er3 0.2558 0.2558 0.7640
Er4 0.2558 0.7640 0.2558
Er5 0.7442 0.2360 0.7442
Er6 0.7442 0.7442 0.2360
Er7 0.7567 0.7567 0.7567
Er8 0.7640 0.2558 0.2558
Ga1 0.0000 0.0000 0.5000
Ga2 0.0000 0.5000 0.0000
Ga3 0.5000 0.0000 0.0000
Te1 0.0000 0.0000 0.0000
Te2 0.0000 0.5000 0.5000
Te3 0.5000 0.0000 0.5000
Te4 0.5000 0.5000 0.0000
Se1 0.5000 0.5000 0.5000

(2)
This entry pairs a crystal structure of Ni2Te4Cl with its calculated PXRD pattern. Radiation: Cu Kα. Structure: a structure optimized by DFT (GGA-PBE).

Principal peaks in the range 2θ = 10–80°, by angle:
| two_theta | I (rel.) |
| --- | --- |
| 14.1 | 66 |
| 28.4 | 61 |
| 28.7 | 23 |
| 29.0 | 28 |
| 35.5 | 100 |
| 36.0 | 41 |
| 43.8 | 23 |
| 44.0 | 23 |
| 47.7 | 22 |
| 51.5 | 37 |

Cell: 8.4107 8.4107 7.0933 Å, 114.57 114.57 107.33°
Fractional coordinates of all 14 atoms:
Ni1 0.0000 0.0000 0.0000
Ni2 0.0000 0.0000 0.5000
Ni3 0.0000 0.5000 0.0000
Ni4 0.5000 0.0000 0.5000
Te1 0.1948 0.7991 0.4980
Te2 0.1975 0.3021 0.9968
Te3 0.2009 0.8052 0.0020
Te4 0.3021 0.1975 0.4968
Te5 0.6979 0.8025 0.5032
Te6 0.7991 0.1948 0.9980
Te7 0.8025 0.6979 0.0032
Te8 0.8052 0.2009 0.5020
Cl1 0.3758 0.6242 0.7500
Cl2 0.6242 0.3758 0.2500

(3)
This entry pairs a crystal structure of Pm6GeP2S3 with its calculated PXRD pattern. Radiation: Cu Kα. Structure: a structure optimized by DFT (GGA-PBE).

Principal peaks in the range 2θ = 10–80°, by angle:
| two_theta | I (rel.) |
| --- | --- |
| 26.5 | 63 |
| 30.7 | 100 |
| 44.0 | 61 |
| 44.0 | 12 |
| 52.1 | 31 |
| 54.6 | 19 |
| 54.7 | 6 |
| 63.9 | 12 |
| 70.4 | 6 |
| 72.6 | 27 |

Cell: 9.2072 9.2072 8.2250 Å, 102.89 102.89 25.88°
Fractional coordinates of all 12 atoms:
Pm1 0.0013 0.0013 0.2511
Pm2 0.3314 0.3314 0.4210
Pm3 0.3334 0.3334 0.9122
Pm4 0.6666 0.6666 0.0878
Pm5 0.6686 0.6686 0.5790
Pm6 0.9987 0.9987 0.7489
Ge1 0.5000 0.5000 0.0000
P1 0.1674 0.1674 0.3346
P2 0.8326 0.8326 0.6654
S1 0.1670 0.1670 0.8322
S2 0.5000 0.5000 0.5000
S3 0.8330 0.8330 0.1678

(4)
This entry pairs a crystal structure of LiUAs2O8 with its calculated PXRD pattern. Radiation: Cu Kα. Structure: a structure optimized by DFT (GGA-PBE).

Principal peaks in the range 2θ = 10–80°, by angle:
| two_theta | I (rel.) |
| --- | --- |
| 17.9 | 68 |
| 18.9 | 65 |
| 25.4 | 100 |
| 31.9 | 33 |
| 33.7 | 74 |
| 36.2 | 21 |
| 38.4 | 23 |
| 40.7 | 17 |
| 50.3 | 62 |
| 63.6 | 19 |

Cell: 5.8759 5.8759 5.8759 Å, 106.76 106.76 115.04°
Fractional coordinates of all 12 atoms:
Li1 0.0000 0.0000 0.0000
U1 0.2500 0.7500 0.5000
As1 0.5000 0.5000 0.0000
As2 0.7500 0.2500 0.5000
O1 0.3318 0.1398 0.8080
O2 0.3318 0.5238 0.1920
O3 0.3837 0.0674 0.3163
O4 0.4762 0.6682 0.8080
O5 0.7512 0.0674 0.6837
O6 0.8602 0.6682 0.1920
O7 0.9326 0.2488 0.3163
O8 0.9326 0.6163 0.6837

(5)
This entry pairs a crystal structure of CaPrO4 with its calculated PXRD pattern. Radiation: Cu Kα. Structure: a structure optimized by DFT (GGA-PBE).

Principal peaks in the range 2θ = 10–80°, by angle:
| two_theta | I (rel.) |
| --- | --- |
| 13.3 | 78 |
| 25.7 | 33 |
| 26.0 | 40 |
| 26.8 | 34 |
| 28.7 | 100 |
| 29.9 | 23 |
| 30.2 | 34 |
| 38.6 | 33 |
| 45.4 | 30 |
| 47.7 | 24 |

Cell: 4.0071 4.0071 6.6954 Å, 95.01 95.01 58.90°
Fractional coordinates of all 6 atoms:
Ca1 0.0000 0.0000 0.0000
Pr1 0.6313 0.6313 0.5815
O1 0.2304 0.2304 0.3322
O2 0.3977 0.3977 0.2415
O3 0.6634 0.6634 0.9263
O4 0.9649 0.9649 0.6354

(6)
This entry pairs a crystal structure of Cd7HgAu2 with its calculated PXRD pattern. Radiation: Cu Kα. Structure: a structure optimized by DFT (GGA-PBE).

Principal peaks in the range 2θ = 10–80°, by angle:
| two_theta | I (rel.) |
| --- | --- |
| 22.7 | 36 |
| 23.1 | 19 |
| 31.6 | 12 |
| 37.3 | 100 |
| 37.9 | 83 |
| 44.4 | 22 |
| 54.2 | 29 |
| 67.3 | 17 |
| 67.7 | 29 |
| 79.6 | 11 |

Cell: 4.8193 4.8193 11.5461 Å, 90.00 90.00 120.00°
Fractional coordinates of all 10 atoms:
Cd1 0.0000 0.0000 0.0000
Cd2 0.0000 0.0000 0.2562
Cd3 0.0000 0.0000 0.5271
Cd4 0.3333 0.6667 0.1343
Cd5 0.3333 0.6667 0.7034
Cd6 0.6667 0.3333 0.3559
Cd7 0.6667 0.3333 0.8439
Hg1 0.3333 0.6667 0.4388
Au1 0.0000 0.0000 0.7640
Au2 0.6667 0.3333 0.0981

(7)
This entry pairs a crystal structure of Tb2Al2BOs2 with its calculated PXRD pattern. Radiation: Cu Kα. Structure: a structure optimized by DFT (GGA-PBE).

Principal peaks in the range 2θ = 10–80°, by angle:
| two_theta | I (rel.) |
| --- | --- |
| 15.4 | 33 |
| 25.1 | 26 |
| 31.9 | 45 |
| 32.8 | 92 |
| 34.4 | 100 |
| 37.4 | 26 |
| 39.9 | 28 |
| 44.3 | 29 |
| 55.6 | 19 |
| 56.4 | 20 |

Cell: 5.8945 5.8945 7.1348 Å, 123.82 123.82 40.63°
Fractional coordinates of all 7 atoms:
Tb1 0.0688 0.0688 0.2950
Tb2 0.9312 0.9312 0.7050
Al1 0.3553 0.3553 0.3140
Al2 0.6447 0.6447 0.6860
B1 0.5000 0.5000 0.0000
Os1 0.2926 0.2926 0.9113
Os2 0.7074 0.7074 0.0887

(8)
This entry pairs a crystal structure of Tm5Co2Os with its calculated PXRD pattern. Radiation: Cu Kα. Structure: a structure optimized by DFT (GGA-PBE).

Principal peaks in the range 2θ = 10–80°, by angle:
| two_theta | I (rel.) |
| --- | --- |
| 29.2 | 21 |
| 31.3 | 30 |
| 34.5 | 78 |
| 36.3 | 100 |
| 40.8 | 45 |
| 54.5 | 26 |
| 57.8 | 18 |
| 62.2 | 22 |
| 68.4 | 15 |
| 73.2 | 14 |

Cell: 8.5642 8.5642 8.5642 Å, 131.77 131.77 70.59°
Fractional coordinates of all 16 atoms:
Tm1 0.0000 0.0000 0.0000
Tm2 0.0359 0.5359 0.8577
Tm3 0.1782 0.0359 0.5000
Tm4 0.3218 0.8218 0.8577
Tm5 0.4641 0.3218 0.5000
Tm6 0.5000 0.5000 0.0000
Tm7 0.5359 0.6782 0.5000
Tm8 0.6782 0.1782 0.1423
Tm9 0.8218 0.9641 0.5000
Tm10 0.9641 0.4641 0.1423
Co1 0.1129 0.3871 0.5000
Co2 0.3871 0.8871 0.2742
Co3 0.6129 0.1129 0.7258
Co4 0.8871 0.6129 0.5000
Os1 0.2500 0.2500 0.0000
Os2 0.7500 0.7500 0.0000

(9)
This entry pairs a crystal structure of Mg2Sc3 with its calculated PXRD pattern. Radiation: Cu Kα. Structure: a structure optimized by DFT (GGA-PBE).

Principal peaks in the range 2θ = 10–80°, by angle:
| two_theta | I (rel.) |
| --- | --- |
| 21.0 | 4 |
| 26.7 | 4 |
| 34.2 | 100 |
| 38.1 | 37 |
| 42.8 | 12 |
| 55.0 | 12 |
| 58.6 | 18 |
| 66.4 | 25 |
| 72.0 | 9 |
| 72.8 | 8 |

Cell: 3.3410 3.3410 21.1466 Å, 90.00 90.00 90.00°
Fractional coordinates of all 10 atoms:
Mg1 0.0000 0.0000 0.0973
Mg2 0.0000 0.0000 0.2940
Mg3 0.0000 0.0000 0.7060
Mg4 0.0000 0.0000 0.9027
Sc1 0.0000 0.0000 0.5000
Sc2 0.5000 0.5000 0.0000
Sc3 0.5000 0.5000 0.1946
Sc4 0.5000 0.5000 0.3961
Sc5 0.5000 0.5000 0.6039
Sc6 0.5000 0.5000 0.8054

(10)
This entry pairs a crystal structure of Sm3PuSe4 with its calculated PXRD pattern. Radiation: Cu Kα. Structure: a structure optimized by DFT (GGA-PBE).

Principal peaks in the range 2θ = 10–80°, by angle:
| two_theta | I (rel.) |
| --- | --- |
| 26.1 | 13 |
| 26.3 | 12 |
| 30.4 | 100 |
| 43.2 | 13 |
| 43.5 | 50 |
| 43.7 | 12 |
| 53.7 | 13 |
| 54.1 | 13 |
| 63.1 | 12 |
| 71.7 | 23 |

Cell: 7.2236 7.2236 4.1470 Å, 90.00 90.00 109.20°
Fractional coordinates of all 8 atoms:
Sm1 0.0000 0.0000 0.0000
Sm2 0.0000 0.5000 0.5000
Sm3 0.5000 0.0000 0.5000
Pu1 0.5000 0.5000 0.0000
Se1 0.2511 0.7489 0.0000
Se2 0.2520 0.2520 0.5000
Se3 0.7480 0.7480 0.5000
Se4 0.7489 0.2511 0.0000

(11)
This entry pairs a crystal structure of Nd7Ho3Tm with its calculated PXRD pattern. Radiation: Cu Kα. Structure: a structure optimized by DFT (GGA-PBE).

Principal peaks in the range 2θ = 10–80°, by angle:
| two_theta | I (rel.) |
| --- | --- |
| 28.8 | 23 |
| 29.5 | 20 |
| 31.1 | 51 |
| 31.7 | 100 |
| 33.0 | 32 |
| 33.7 | 53 |
| 50.2 | 26 |
| 59.9 | 15 |
| 60.6 | 15 |
| 60.9 | 14 |

Cell: 10.3078 10.3078 12.6392 Å, 114.89 114.89 40.70°
Fractional coordinates of all 22 atoms:
Nd1 0.0803 0.5884 0.9759
Nd2 0.0810 0.5840 0.4723
Nd3 0.2071 0.7929 0.7500
Nd4 0.3376 0.3449 0.2272
Nd5 0.3449 0.3376 0.7272
Nd6 0.4116 0.9197 0.5241
Nd7 0.4160 0.9190 0.0277
Nd8 0.5840 0.0810 0.9723
Nd9 0.5884 0.0803 0.4759
Nd10 0.6551 0.6624 0.2728
Nd11 0.6624 0.6551 0.7728
Nd12 0.7929 0.2071 0.2500
Nd13 0.9190 0.4160 0.5277
Nd14 0.9197 0.4116 0.0241
Ho1 0.1690 0.1733 0.2732
Ho2 0.1733 0.1690 0.7732
Ho3 0.5000 0.5000 0.0000
Ho4 0.5000 0.5000 0.5000
Ho5 0.8267 0.8310 0.2268
Ho6 0.8310 0.8267 0.7268
Tm1 0.0000 0.0000 0.0000
Tm2 0.0000 0.0000 0.5000

(12)
This entry pairs a crystal structure of Sc6AlCu2 with its calculated PXRD pattern. Radiation: Cu Kα. Structure: a structure optimized by DFT (GGA-PBE).

Principal peaks in the range 2θ = 10–80°, by angle:
| two_theta | I (rel.) |
| --- | --- |
| 14.0 | 78 |
| 34.3 | 98 |
| 36.6 | 100 |
| 37.3 | 28 |
| 37.5 | 67 |
| 37.7 | 98 |
| 39.8 | 64 |
| 41.7 | 29 |
| 44.0 | 27 |
| 63.5 | 27 |

Cell: 7.8493 7.8493 7.8493 Å, 111.69 109.43 107.32°
Fractional coordinates of all 18 atoms:
Sc1 0.0380 0.8203 0.2177
Sc2 0.2407 0.5346 0.2939
Sc3 0.2407 0.9468 0.7061
Sc4 0.2756 0.3167 0.5923
Sc5 0.2756 0.6833 0.9590
Sc6 0.3974 0.1797 0.2177
Sc7 0.6026 0.8203 0.7823
Sc8 0.7244 0.3167 0.0410
Sc9 0.7244 0.6833 0.4077
Sc10 0.7593 0.0532 0.2939
Sc11 0.7593 0.4654 0.7061
Sc12 0.9620 0.1797 0.7823
Al1 0.0000 0.5000 0.5000
Al2 0.5000 0.0000 0.5000
Cu1 0.0000 0.1422 0.1422
Cu2 0.0000 0.8578 0.8578
Cu3 0.3712 0.3712 0.0000
Cu4 0.6288 0.6288 0.0000